Theoretical powder diffraction line list
Compound: SrCd4S5
Radiation: Cu Kα X-rays
Structure: a DFT-relaxed cell (PBE, the Materials Project)
Kinematic intensities with the Lorentz-polarization factor, no thermal factor.

Crystal structure
```
data_SrCd4S5
_symmetry_space_group_name_H-M 'R -3 m'
_symmetry_Int_Tables_number 166
_symmetry_space_group_name_Hall '-R 3 2"'
_cell_length_a 3.9901
_cell_length_b 3.9901
_cell_length_c 48.2099
_cell_angle_alpha 90.00
_cell_angle_beta 90.00
_cell_angle_gamma 120.00
loop_
_atom_site_label
_atom_site_type_symbol
_atom_site_fract_x
_atom_site_fract_y
_atom_site_fract_z
Sr1 Sr 0.0000 0.0000 0.0000
Cd1 Cd 0.0000 0.0000 0.1989
Cd2 Cd 0.0000 0.0000 0.4030
S1 S 0.0000 0.0000 0.1020
S2 S 0.0000 0.0000 0.2952
S3 S 0.0000 0.0000 0.5000
```

Most intense lines, 10° ≤ 2θ ≤ 90°, by angle:
2θ = 27.42°, d 3.253, I 42, hkl 0 1 5
2θ = 27.76°, d 3.214, I 13, hkl 0 0 15
2θ = 31.86°, d 2.809, I 100, hkl 1 0 10
2θ = 45.46°, d 1.995, I 36, hkl 1 1 0
2θ = 45.90°, d 1.977, I 33, hkl 0 1 20
2θ = 53.91°, d 1.701, I 7, hkl 2 0 5
2θ = 54.11°, d 1.695, I 13, hkl 1 1 15
2θ = 56.59°, d 1.626, I 18, hkl 0 2 10
2θ = 66.59°, d 1.404, I 10, hkl 2 0 20
2θ = 75.40°, d 1.261, I 15, hkl 2 1 10
2θ = 76.05°, d 1.251, I 12, hkl 1 1 30
2θ = 84.34°, d 1.148, I 11, hkl 1 2 20